1.
This entry pairs a crystal structure of Li2V5O10 with its simulated PXRD pattern. Radiation: Cu Kα X-rays. Structure: a crystal structure in the Materials Project, relaxed with GGA+U.
Peak positions follow from Bragg's law for the DFT cell and can differ from measured ones.

Structure:
```
Li2V5O10
1.0
5.122 0.000 0.000
-0.415 8.225 0.000
-2.354 -3.849 9.153
Li V O
4 10 20
Direct
0.134 0.193 0.093
0.363 0.302 0.404
0.637 0.698 0.596
0.866 0.807 0.907
0.000 0.500 0.000
0.063 0.206 0.601
0.212 0.908 0.721
0.296 0.588 0.773
0.438 0.289 0.899
0.500 0.000 0.500
0.562 0.711 0.101
0.704 0.412 0.227
0.788 0.092 0.279
0.937 0.794 0.399
0.004 0.716 0.725
0.110 0.378 0.813
0.124 0.036 0.404
0.225 0.710 0.994
0.230 0.088 0.897
0.276 0.421 0.602
0.295 0.803 0.525
0.373 0.458 0.092
0.410 0.134 0.698
0.497 0.211 0.217
0.503 0.789 0.783
0.590 0.866 0.302
0.627 0.542 0.908
0.705 0.197 0.475
0.724 0.579 0.398
0.770 0.912 0.103
0.775 0.290 0.006
0.876 0.964 0.596
0.890 0.622 0.187
0.996 0.284 0.275
```

Top 10 peaks for 15° ≤ 2θ ≤ 90°, in order of rising 2θ:
17.9 deg, d = 4.969 Å, I = 43
18.0 deg, d = 4.925 Å, I = 100
22.7 deg, d = 3.923 Å, I = 26
26.9 deg, d = 3.309 Å, I = 25
27.7 deg, d = 3.221 Å, I = 30
30.0 deg, d = 2.975 Å, I = 19
38.0 deg, d = 2.366 Å, I = 60
44.3 deg, d = 2.046 Å, I = 42
45.6 deg, d = 1.988 Å, I = 41
59.9 deg, d = 1.544 Å, I = 15

***

2.
This entry pairs a crystal structure of La4MnSe6O with its simulated PXRD pattern. Radiation: Cu Kα X-rays. Structure: a crystal structure in the Materials Project, relaxed with GGA+U.
Peak positions follow from Bragg's law for the DFT cell and can differ from measured ones.

Structure:
```
La4MnSe6O
1.0
9.837 0.000 0.000
-4.918 8.519 0.000
0.000 0.000 7.137
La Mn Se O
8 2 12 2
Direct
0.200 0.400 0.000
0.200 0.800 0.000
0.333 0.667 0.547
0.400 0.200 0.500
0.600 0.800 0.000
0.667 0.333 0.047
0.800 0.200 0.500
0.800 0.600 0.500
0.000 0.000 0.334
0.000 0.000 0.834
0.060 0.530 0.284
0.126 0.252 0.602
0.126 0.874 0.602
0.252 0.126 0.102
0.470 0.530 0.284
0.470 0.940 0.284
0.530 0.060 0.784
0.530 0.470 0.784
0.748 0.874 0.602
0.874 0.126 0.102
0.874 0.748 0.102
0.940 0.470 0.784
0.333 0.667 0.883
0.667 0.333 0.383
```

Top 10 peaks for 15° ≤ 2θ ≤ 90°, in order of rising 2θ:
24.3 deg, d = 3.657 Å, I = 54
25.0 deg, d = 3.568 Å, I = 16
30.5 deg, d = 2.935 Å, I = 64
32.7 deg, d = 2.735 Å, I = 100
34.0 deg, d = 2.638 Å, I = 73
36.5 deg, d = 2.459 Å, I = 57
37.6 deg, d = 2.390 Å, I = 22
43.6 deg, d = 2.077 Å, I = 29
56.1 deg, d = 1.639 Å, I = 19
61.4 deg, d = 1.510 Å, I = 18

***

3.
This entry pairs a crystal structure of TbWBrO4 with its simulated PXRD pattern. Radiation: Cu Kα X-rays. Structure: a crystal structure in the Materials Project, relaxed with GGA+U.
Peak positions follow from Bragg's law for the DFT cell and can differ from measured ones.

Structure:
```
TbWBrO4
1.0
7.007 0.000 0.000
-0.440 7.336 0.000
-3.413 -3.037 10.149
Tb W Br O
4 4 4 16
Direct
0.116 0.344 0.232
0.154 0.118 0.731
0.846 0.882 0.269
0.884 0.656 0.768
0.230 0.813 0.133
0.270 0.591 0.627
0.730 0.409 0.373
0.770 0.187 0.867
0.237 0.003 0.481
0.307 0.282 0.019
0.693 0.718 0.981
0.763 0.997 0.519
0.103 0.018 0.182
0.129 0.643 0.201
0.155 0.792 0.702
0.160 0.729 0.957
0.168 0.503 0.449
0.218 0.409 0.701
0.460 0.351 0.328
0.498 0.129 0.793
0.502 0.871 0.207
0.540 0.649 0.672
0.782 0.591 0.299
0.832 0.497 0.551
0.840 0.271 0.043
0.845 0.208 0.298
0.871 0.357 0.799
0.897 0.982 0.818
```

Top 10 peaks for 15° ≤ 2θ ≤ 90°, in order of rising 2θ:
24.3 deg, d = 3.660 Å, I = 100
25.5 deg, d = 3.497 Å, I = 50
27.0 deg, d = 3.297 Å, I = 29
27.8 deg, d = 3.209 Å, I = 20
29.4 deg, d = 3.042 Å, I = 23
30.2 deg, d = 2.957 Å, I = 14
30.8 deg, d = 2.906 Å, I = 24
32.7 deg, d = 2.742 Å, I = 25
35.1 deg, d = 2.560 Å, I = 17
36.0 deg, d = 2.497 Å, I = 26

***

4.
This entry pairs a crystal structure of MgMn6O7F5 with its simulated PXRD pattern. Radiation: Cu Kα X-rays. Structure: a crystal structure in the Materials Project, relaxed with GGA+U.
Peak positions follow from Bragg's law for the DFT cell and can differ from measured ones.

Structure:
```
MgMn6O7F5
1.0
5.165 0.000 0.000
1.144 5.094 0.000
0.101 0.231 9.108
Mg Mn O F
1 6 7 5
Direct
0.000 0.000 0.000
0.478 0.068 0.955
0.508 0.077 0.614
0.517 0.048 0.297
0.864 0.503 0.133
0.973 0.550 0.469
0.984 0.550 0.788
0.139 0.329 0.961
0.196 0.374 0.630
0.361 0.932 0.464
0.672 0.193 0.112
0.779 0.758 0.948
0.805 0.748 0.302
0.807 0.764 0.629
0.194 0.359 0.296
0.265 0.876 0.831
0.293 0.873 0.132
0.675 0.231 0.783
0.709 0.274 0.451
```

Top 10 peaks for 15° ≤ 2θ ≤ 90°, in order of rising 2θ:
21.9 deg, d = 4.053 Å, I = 100
27.5 deg, d = 3.245 Å, I = 65
34.0 deg, d = 2.637 Å, I = 20
34.4 deg, d = 2.607 Å, I = 14
34.6 deg, d = 2.595 Å, I = 17
34.8 deg, d = 2.579 Å, I = 24
44.7 deg, d = 2.027 Å, I = 16
46.4 deg, d = 1.958 Å, I = 14
46.8 deg, d = 1.940 Å, I = 14
47.7 deg, d = 1.906 Å, I = 20

***

5.
This entry pairs a crystal structure of K2MgFe4P6O16F12 with its simulated PXRD pattern. Radiation: Cu Kα X-rays. Structure: a crystal structure in the Materials Project, relaxed with GGA+U.
Peak positions follow from Bragg's law for the DFT cell and can differ from measured ones.

Structure:
```
K2MgFe4P6O16F12
1.0
7.474 0.000 0.000
-0.088 7.935 0.000
-3.482 -1.972 10.027
K Mg Fe P O F
2 1 4 6 16 12
Direct
0.000 0.000 0.000
0.448 0.856 0.446
0.851 0.127 0.308
0.223 0.906 0.735
0.554 0.582 0.885
0.699 0.431 0.213
0.894 0.233 0.591
0.187 0.301 0.379
0.266 0.503 0.054
0.521 0.967 0.045
0.553 0.186 0.723
0.874 0.638 0.729
0.923 0.824 0.415
0.020 0.793 0.781
0.027 0.291 0.249
0.098 0.807 0.530
0.129 0.228 0.480
0.324 0.565 0.950
0.352 0.008 0.935
0.407 0.454 0.173
0.416 0.027 0.687
0.477 0.353 0.771
0.631 0.817 0.009
0.636 0.187 0.613
0.659 0.120 0.130
0.779 0.619 0.831
0.799 0.666 0.338
0.812 0.984 0.436
0.947 0.480 0.668
0.012 0.889 0.303
0.066 0.101 0.720
0.106 0.354 0.986
0.145 0.643 0.107
0.287 0.486 0.434
0.353 0.202 0.348
0.383 0.705 0.750
0.427 0.913 0.150
0.703 0.479 0.040
0.709 0.694 0.608
0.724 0.154 0.850
0.743 0.322 0.379
```

Top 10 peaks for 15° ≤ 2θ ≤ 90°, in order of rising 2θ:
15.7 deg, d = 5.645 Å, I = 44
17.6 deg, d = 5.042 Å, I = 35
25.3 deg, d = 3.521 Å, I = 26
25.5 deg, d = 3.497 Å, I = 45
25.6 deg, d = 3.483 Å, I = 81
26.1 deg, d = 3.413 Å, I = 100
26.7 deg, d = 3.337 Å, I = 28
27.5 deg, d = 3.247 Å, I = 56
31.1 deg, d = 2.877 Å, I = 38
53.7 deg, d = 1.706 Å, I = 26

***

6.
This entry pairs a crystal structure of MnAs2O6 with its simulated PXRD pattern. Radiation: Cu Kα X-rays. Structure: a crystal structure in the Materials Project, relaxed with GGA+U.
Peak positions follow from Bragg's law for the DFT cell and can differ from measured ones.

Structure:
```
MnAs2O6
1.0
4.886 0.000 0.000
-2.443 4.232 0.000
0.000 0.000 4.785
Mn As O
1 2 6
Direct
0.000 0.000 0.000
0.333 0.667 0.500
0.667 0.333 0.500
0.000 0.369 0.717
0.000 0.631 0.283
0.369 0.000 0.717
0.369 0.369 0.283
0.631 0.000 0.283
0.631 0.631 0.717
```

Top 10 peaks for 15° ≤ 2θ ≤ 90°, in order of rising 2θ:
18.5 deg, d = 4.785 Å, I = 36
28.2 deg, d = 3.170 Å, I = 100
36.8 deg, d = 2.443 Å, I = 35
41.5 deg, d = 2.176 Å, I = 26
47.0 deg, d = 1.935 Å, I = 21
53.6 deg, d = 1.709 Å, I = 53
61.1 deg, d = 1.517 Å, I = 20
62.2 deg, d = 1.493 Å, I = 9
66.3 deg, d = 1.411 Å, I = 17
85.1 deg, d = 1.140 Å, I = 8

***

7.
This entry pairs a crystal structure of Mg14CrSnO16 with its simulated PXRD pattern. Radiation: Cu Kα X-rays. Structure: a crystal structure in the Materials Project, relaxed with GGA+U.
Peak positions follow from Bragg's law for the DFT cell and can differ from measured ones.

Structure:
```
Mg14CrSnO16
1.0
4.362 0.000 0.000
0.000 8.661 0.000
0.000 0.000 8.770
Mg Cr Sn O
14 1 1 16
Direct
0.000 0.000 0.000
0.000 0.245 0.243
0.000 0.245 0.757
0.000 0.500 0.000
0.000 0.755 0.243
0.000 0.755 0.757
0.500 0.000 0.245
0.500 0.000 0.755
0.500 0.242 0.500
0.500 0.249 0.000
0.500 0.500 0.240
0.500 0.500 0.760
0.500 0.751 0.000
0.500 0.758 0.500
0.000 0.000 0.500
0.000 0.500 0.500
0.000 0.000 0.234
0.000 0.000 0.766
0.000 0.232 0.500
0.000 0.248 0.000
0.000 0.500 0.228
0.000 0.500 0.772
0.000 0.752 0.000
0.000 0.768 0.500
0.500 0.000 0.000
0.500 0.000 0.500
0.500 0.250 0.251
0.500 0.250 0.749
0.500 0.500 0.000
0.500 0.500 0.500
0.500 0.750 0.251
0.500 0.750 0.749
```

Top 10 peaks for 15° ≤ 2θ ≤ 90°, in order of rising 2θ:
22.8 deg, d = 3.905 Å, I = 32
29.0 deg, d = 3.077 Å, I = 27
35.7 deg, d = 2.517 Å, I = 72
41.2 deg, d = 2.192 Å, I = 99
41.4 deg, d = 2.181 Å, I = 100
41.7 deg, d = 2.165 Å, I = 96
59.8 deg, d = 1.546 Å, I = 57
60.1 deg, d = 1.541 Å, I = 56
60.2 deg, d = 1.537 Å, I = 57
75.6 deg, d = 1.258 Å, I = 52

***

8.
This entry pairs a crystal structure of Li3FePCO7 with its simulated PXRD pattern. Radiation: Cu Kα X-rays. Structure: a crystal structure in the Materials Project, relaxed with GGA+U.
Peak positions follow from Bragg's law for the DFT cell and can differ from measured ones.

Structure:
```
Li3FePCO7
1.0
5.050 0.000 0.000
0.075 6.351 0.000
0.802 0.025 8.755
Li Fe P C O
6 2 2 2 14
Direct
0.151 0.050 0.235
0.251 0.725 0.622
0.290 0.563 0.285
0.710 0.437 0.715
0.749 0.275 0.378
0.849 0.950 0.765
0.201 0.246 0.861
0.799 0.754 0.139
0.355 0.748 0.916
0.645 0.252 0.084
0.223 0.263 0.529
0.777 0.737 0.471
0.041 0.241 0.643
0.143 0.284 0.392
0.211 0.728 0.078
0.228 0.923 0.819
0.334 0.546 0.816
0.349 0.205 0.072
0.472 0.269 0.550
0.528 0.731 0.450
0.651 0.795 0.928
0.666 0.454 0.184
0.772 0.077 0.181
0.789 0.272 0.922
0.857 0.716 0.608
0.959 0.759 0.357
```

Top 10 peaks for 15° ≤ 2θ ≤ 90°, in order of rising 2θ:
17.2 deg, d = 5.146 Å, I = 20
19.5 deg, d = 4.543 Å, I = 22
21.2 deg, d = 4.198 Å, I = 57
22.7 deg, d = 3.921 Å, I = 22
23.9 deg, d = 3.716 Å, I = 17
28.1 deg, d = 3.175 Å, I = 100
28.2 deg, d = 3.162 Å, I = 43
30.6 deg, d = 2.918 Å, I = 16
34.9 deg, d = 2.572 Å, I = 22
35.7 deg, d = 2.514 Å, I = 19